(1)
Diffraction record for MnF3. The X-ray powder pattern is simulated, not measured: it uses the PBE+U geometry in the Materials Project and copper Kα.
Lines closer than 0.1° are merged.

Principal peaks in the range 2θ = 5–70°, in order of falling intensity:
(0 0 1), 3.881 Å, rel. 100.0; (2 2 0), 1.943 Å, rel. 16.1; (1 1 2), 1.733 Å, rel. 11.1; (1 1 1), 2.743 Å, rel. 10.4; (0 0 2), 1.936 Å, rel. 10.0; (2 2 1), 1.737 Å, rel. 8.5; (2 2 2), 1.371 Å, rel. 8.3; (1 3 0), 1.763 Å, rel. 7.5; (3 1 0), 1.714 Å, rel. 6.9; (0 2 0), 2.798 Å, rel. 5.5; (2 0 0), 2.702 Å, rel. 3.4; (1 3 1), 1.605 Å, rel. 3.2

Structure:
```
data_MnF3
_space_group_name_H-M_alt 'P b a m'
_space_group_IT_number 55
_cell_length_a 5.4034
_cell_length_b 5.5954
_cell_length_c 3.8714
_cell_angle_alpha 90.00
_cell_angle_beta 90.00
_cell_angle_gamma 90.00
loop_
_space_group_symop_operation_xyz
'x,y,z'
'-x,-y,-z'
'-x,-y,z'
'x,y,-z'
'x+1/2,-y+1/2,-z'
'-x+1/2,y+1/2,z'
'-x+1/2,y+1/2,-z'
'x+1/2,-y+1/2,z'
loop_
_atom_site_label
_atom_site_fract_x
_atom_site_fract_y
_atom_site_fract_z
Mn1 0.0000 0.0000 0.0000
F1 0.0000 0.0000 0.5000
F2 0.2192 0.3101 0.0000
```

---

(2)
Diffraction record for Mn2F7. The X-ray powder pattern is simulated, not measured: it uses the PBE+U geometry in the Materials Project and copper Kα.
Lines closer than 0.1° are merged.

Principal peaks in the range 2θ = 5–70°, in order of falling intensity:
(0 1 1), 5.728 Å, rel. 100.0; (0 1 0), 6.012 Å, rel. 97.5; (0 0 2), 3.995 Å, rel. 93.3; (1 0 2), 3.584 Å, rel. 45.5; (0 1 2), 3.936 Å, rel. 44.8; (1 0 4), 2.026 Å, rel. 41.0; (-2 1 1), 2.204 Å, rel. 37.3; (1 3 1), 2.016 Å, rel. 36.8; (1 -1 0), 3.860 Å, rel. 21.6; (2 0 0), 2.590 Å, rel. 20.9; (1 -1 1), 3.438 Å, rel. 18.0; (1 2 1), 2.856 Å, rel. 16.0

Structure:
```
data_Mn2F7
_space_group_name_H-M_alt 'P -1'
_space_group_IT_number 2
_cell_length_a 5.3527
_cell_length_b 6.3600
_cell_length_c 8.6825
_cell_angle_alpha 71.06
_cell_angle_beta 75.52
_cell_angle_gamma 83.57
loop_
_space_group_symop_operation_xyz
'x,y,z'
'-x,-y,-z'
loop_
_atom_site_label
_atom_site_fract_x
_atom_site_fract_y
_atom_site_fract_z
Mn1 0.2116 0.4737 0.3255
Mn2 0.2863 0.2826 0.8067
F1 0.0523 0.6254 0.1237
F2 0.1081 0.2078 0.3597
F3 0.1844 0.4144 0.5841
F4 0.2128 0.0211 0.8082
F5 0.3379 0.1987 0.0092
F6 0.3559 0.7559 0.2937
F7 0.4169 0.5749 0.7638
```

---

(3)
Diffraction record for MnF3. The X-ray powder pattern is simulated, not measured: it uses the PBE+U geometry in the Materials Project and copper Kα.
Lines closer than 0.1° are merged.

Principal peaks in the range 2θ = 5–70°, in order of falling intensity:
(1 0 1), 3.853 Å, rel. 100.0; (0 2 0), 3.771 Å, rel. 47.8; (2 0 2), 1.926 Å, rel. 22.1; (1 2 1), 2.695 Å, rel. 20.3; (2 2 2), 1.715 Å, rel. 17.2; (1 4 1), 1.694 Å, rel. 16.5; (3 0 1), 1.757 Å, rel. 11.1; (0 4 0), 1.885 Å, rel. 11.0; (1 2 3), 1.543 Å, rel. 8.9; (2 4 2), 1.347 Å, rel. 8.6; (2 0 0), 2.793 Å, rel. 8.4; (1 0 3), 1.691 Å, rel. 6.3

Structure:
```
data_MnF3
_space_group_name_H-M_alt 'P n m a'
_space_group_IT_number 62
_cell_length_a 5.5857
_cell_length_b 7.5419
_cell_length_c 5.3211
_cell_angle_alpha 90.00
_cell_angle_beta 90.00
_cell_angle_gamma 90.00
loop_
_space_group_symop_operation_xyz
'x,y,z'
'-x,-y,-z'
'-x+1/2,-y,z+1/2'
'x+1/2,y,-z+1/2'
'x+1/2,-y+1/2,-z+1/2'
'-x+1/2,y+1/2,z+1/2'
'-x,y+1/2,-z'
'x,-y+1/2,z'
loop_
_atom_site_label
_atom_site_fract_x
_atom_site_fract_y
_atom_site_fract_z
Mn1 0.0000 0.0000 0.0000
F1 0.0118 0.2500 0.0842
F2 0.1943 0.0391 0.7234
```

---

(4)
Diffraction record for Mn2F7. The X-ray powder pattern is simulated, not measured: it uses the PBE+U geometry in the Materials Project and copper Kα.
Lines closer than 0.1° are merged.

Principal peaks in the range 2θ = 5–70°, in order of falling intensity:
(0 1 2), 4.057 Å, rel. 100.0; (2 0 0), 3.648 Å, rel. 55.5; (0 0 1), 12.933 Å, rel. 24.6; (0 1 3), 3.321 Å, rel. 22.9; (2 1 -3), 2.601 Å, rel. 21.9; (2 2 4), 1.710 Å, rel. 19.0; (4 1 -3), 1.677 Å, rel. 18.7; (2 3 2), 1.503 Å, rel. 17.8; (0 2 5), 1.835 Å, rel. 16.9; (0 1 7), 1.741 Å, rel. 13.4; (0 0 2), 6.467 Å, rel. 11.9; (4 0 -1), 1.842 Å, rel. 11.1

Structure:
```
data_Mn2F7
_space_group_name_H-M_alt 'P 1 21 1'
_space_group_IT_number 4
_cell_length_a 7.3695
_cell_length_b 5.2100
_cell_length_c 13.0685
_cell_angle_alpha 90.00
_cell_angle_beta 98.24
_cell_angle_gamma 90.00
loop_
_space_group_symop_operation_xyz
'x,y,z'
'-x,y+1/2,-z'
loop_
_atom_site_label
_atom_site_fract_x
_atom_site_fract_y
_atom_site_fract_z
Mn1 0.0256 0.0000 0.1090
Mn2 0.0787 0.4974 0.3205
Mn3 0.4210 0.0038 0.6798
Mn4 0.4744 0.4901 0.8901
F1 0.0035 0.1767 0.8037
F2 0.0538 0.3128 0.0104
F3 0.0543 0.7739 0.3926
F4 0.1093 0.1974 0.2284
F5 0.1561 0.3025 0.4266
F6 0.1704 0.8919 0.6788
F7 0.2228 0.5991 0.8829
F8 0.2730 0.8900 0.0992
F9 0.3248 0.6015 0.3033
F10 0.3549 0.2955 0.6193
F11 0.4078 0.1837 0.8140
F12 0.4347 0.8333 0.5664
F13 0.4585 0.2718 0.0256
F14 0.4916 0.7083 0.7609
```

---

(5)
Diffraction record for MnF3. The X-ray powder pattern is simulated, not measured: it uses the PBE+U geometry in the Materials Project and copper Kα.
Lines closer than 0.1° are merged.

Principal peaks in the range 2θ = 5–70°, in order of falling intensity:
(1 1 -1), 3.872 Å, rel. 100.0; (2 0 0), 3.798 Å, rel. 46.8; (2 2 -2), 1.936 Å, rel. 23.3; (3 1 1), 1.728 Å, rel. 21.2; (1 1 1), 2.756 Å, rel. 13.7; (4 0 0), 1.899 Å, rel. 10.9; (0 2 2), 1.748 Å, rel. 9.8; (3 1 0), 2.300 Å, rel. 8.3; (0 2 1), 2.348 Å, rel. 7.2; (4 2 -2), 1.703 Å, rel. 7.1; (1 3 -1), 1.735 Å, rel. 6.9; (3 1 -1), 2.669 Å, rel. 6.7

Structure:
```
data_MnF3
_space_group_name_H-M_alt 'C 1 2/c 1'
_space_group_IT_number 15
_cell_length_a 9.1639
_cell_length_b 5.4898
_cell_length_c 5.4680
_cell_angle_alpha 90.00
_cell_angle_beta 124.02
_cell_angle_gamma 90.00
loop_
_space_group_symop_operation_xyz
'x,y,z'
'-x,-y,-z'
'-x,y,-z+1/2'
'x,-y,z+1/2'
'x+1/2,y+1/2,z'
'-x+1/2,-y+1/2,-z'
'-x+1/2,y+1/2,-z+1/2'
'x+1/2,-y+1/2,z+1/2'
loop_
_atom_site_label
_atom_site_fract_x
_atom_site_fract_y
_atom_site_fract_z
Mn1 0.2500 0.2500 0.0000
F1 0.0000 0.1743 0.7500
F2 0.2115 0.4491 0.2346
```

---

(6)
Diffraction record for MnF3. The X-ray powder pattern is simulated, not measured: it uses the PBE+U geometry in the Materials Project and copper Kα.
Lines closer than 0.1° are merged.

Principal peaks in the range 2θ = 5–70°, in order of falling intensity:
(0 1 2), 3.839 Å, rel. 100.0; (0 2 4), 1.919 Å, rel. 24.6; (1 1 6), 1.729 Å, rel. 20.6; (1 2 2), 1.704 Å, rel. 14.3; (1 0 4), 2.739 Å, rel. 11.8; (1 1 3), 2.311 Å, rel. 8.5; (1 1 0), 2.690 Å, rel. 7.8; (2 0 8), 1.369 Å, rel. 6.6; (2 1 4), 1.562 Å, rel. 5.2; (3 0 0), 1.553 Å, rel. 4.7; (2 2 0), 1.345 Å, rel. 4.0; (0 1 8), 1.591 Å, rel. 2.2

Structure:
```
data_MnF3
_space_group_name_H-M_alt 'R -3 c'
_space_group_IT_number 167
_space_group_name_Hall '-R 3 2"c'
_cell_length_a 5.3806
_cell_length_b 5.3806
_cell_length_c 13.5423
_cell_angle_alpha 90.00
_cell_angle_beta 90.00
_cell_angle_gamma 120.00
loop_
_atom_site_label
_atom_site_fract_x
_atom_site_fract_y
_atom_site_fract_z
Mn1 0.0000 0.0000 0.0000
F1 0.0000 0.4327 0.2500
```

---

(7)
Diffraction record for MnF3. The X-ray powder pattern is simulated, not measured: it uses the PBE+U geometry in the Materials Project and copper Kα.
Lines closer than 0.1° are merged.

Principal peaks in the range 2θ = 5–70°, in order of falling intensity:
(1 1 -1), 3.405 Å, rel. 100.0; (0 1 1), 4.273 Å, rel. 47.7; (0 0 2), 4.587 Å, rel. 39.3; (2 2 -2), 1.702 Å, rel. 28.6; (1 1 2), 2.326 Å, rel. 27.1; (1 0 -2), 4.149 Å, rel. 24.2; (1 0 0), 4.366 Å, rel. 21.0; (0 1 3), 2.583 Å, rel. 19.8; (2 1 1), 1.806 Å, rel. 19.0; (2 1 -5), 1.715 Å, rel. 18.7; (1 1 -4), 2.227 Å, rel. 18.7; (1 2 -4), 1.740 Å, rel. 18.1

Structure:
```
data_MnF3
_space_group_name_H-M_alt 'P 1 21/c 1'
_space_group_IT_number 14
_cell_length_a 4.8101
_cell_length_b 4.8290
_cell_length_c 10.1067
_cell_angle_alpha 90.00
_cell_angle_beta 114.82
_cell_angle_gamma 90.00
loop_
_space_group_symop_operation_xyz
'x,y,z'
'-x,-y,-z'
'-x,y+1/2,-z+1/2'
'x,-y+1/2,z+1/2'
loop_
_atom_site_label
_atom_site_fract_x
_atom_site_fract_y
_atom_site_fract_z
Mn1 0.1752 0.0030 0.1725
F1 0.0964 0.2105 0.3153
F2 0.2019 0.6796 0.5152
F3 0.4529 0.2246 0.6731
```

---

(8)
Diffraction record for Mn7F18. The X-ray powder pattern is simulated, not measured: it uses the PBE+U geometry in the Materials Project and copper Kα.
Lines closer than 0.1° are merged.

Principal peaks in the range 2θ = 5–70°, in order of falling intensity:
(1 0 1), 4.782 Å, rel. 100.0; (0 0 1), 7.937 Å, rel. 67.6; (1 -1 0), 6.269 Å, rel. 53.9; (0 1 -1), 5.419 Å, rel. 45.3; (0 2 -1), 3.233 Å, rel. 35.2; (0 0 3), 2.645 Å, rel. 30.0; (1 -2 1), 3.466 Å, rel. 27.8; (2 0 1), 2.895 Å, rel. 22.9; (3 0 2), 1.819 Å, rel. 18.7; (1 -4 2), 1.730 Å, rel. 18.7; (-2 2 1), 2.926 Å, rel. 17.7; (-2 3 1), 2.303 Å, rel. 17.5

Structure:
```
data_Mn7F18
_space_group_name_H-M_alt 'P -1'
_space_group_IT_number 2
_cell_length_a 7.2325
_cell_length_b 7.5777
_cell_length_c 7.9912
_cell_angle_alpha 93.21
_cell_angle_beta 93.86
_cell_angle_gamma 115.91
loop_
_space_group_symop_operation_xyz
'x,y,z'
'-x,-y,-z'
loop_
_atom_site_label
_atom_site_fract_x
_atom_site_fract_y
_atom_site_fract_z
Mn1 0.0000 0.0000 0.0000
Mn2 0.1772 0.3854 0.7018
Mn3 0.2040 0.8848 0.6874
Mn4 0.3884 0.2756 0.3781
F1 0.0699 0.2490 0.9043
F2 0.0745 0.7690 0.4339
F3 0.0888 0.1388 0.2588
F4 0.1167 0.6161 0.7486
F5 0.2523 0.0108 0.9432
F6 0.2759 0.1575 0.6111
F7 0.3122 0.4935 0.4937
F8 0.4456 0.5373 0.8052
F9 0.4839 0.9083 0.6655
```

---

Q: Number 2 is which compound?
A: Mn2F7